Entry 1:
Pm4TlTe5: calculated powder diffractogram (λ = 1.5418 Å (Cu Kα)), based on DFT lattice parameters and positions (GGA-PBE).
Lines closer than 0.1° are merged.

Cell and atoms:
Cell lengths 4.4828, 4.4828, 57.6165 Å; angles 90.00, 90.00, 120.00 degrees
Space group R-3m (No. 166, hexagonal axes)
Symmetry-distinct sites (fractional):
Pm  0.0000  0.0000  0.0949 (multiplicity 6)
Pm  0.0000  0.0000  0.3015 (multiplicity 6)
Tl  0.0000  0.0000  0.5000 (multiplicity 3)
Te  0.0000  0.0000  0.0000 (multiplicity 3)
Te  0.0000  0.0000  0.2070 (multiplicity 6)
Te  0.0000  0.0000  0.3965 (multiplicity 6)

The 12 most intense peaks (5 to 70 degrees two-theta), sorted by position:
hkl 1 0 10, 2θ 27.71, I = 100; hkl 1 0 13, 2θ 30.61, I = 3; hkl 0 1 17, 2θ 35.15, I = 4; hkl 0 1 20, 2θ 38.93, I = 33; hkl 1 1 0, 2θ 40.23, I = 39; hkl 0 1 23, 2θ 42.97, I = 4; hkl 0 0 30, 2θ 47.33, I = 4; hkl 0 2 10, 2θ 49.55, I = 20; hkl 2 0 20, 2θ 57.23, I = 11; hkl 1 1 30, 2θ 63.82, I = 11; hkl 2 1 10, 2θ 65.66, I = 17; hkl 1 1 33, 2θ 68.07, I = 4

=====

Entry 2:
Pm4TlTe4: calculated powder diffractogram (λ = 1.5418 Å (Cu Kα)), based on DFT lattice parameters and positions (GGA-PBE).
Lines closer than 0.1° are merged.

Cell and atoms:
Cell lengths 14.1097, 6.2474, 9.9745 Å; angles 90.00, 134.93, 90.00 degrees
Space group C2/m (No. 12)
Symmetry-distinct sites (fractional):
Pm  0.0979  0.0000  0.4055 (multiplicity 4)
Pm  0.1922  0.5000  0.7899 (multiplicity 4)
Tl  0.0000  0.0000  0.0000 (multiplicity 2)
Te  0.0973  0.5000  0.3861 (multiplicity 4)
Te  0.2106  0.0000  0.8081 (multiplicity 4)

The 12 most intense peaks (5 to 70 degrees two-theta), sorted by position:
hkl 1 1 0, 2θ 16.74, I = 15; hkl 1 1 -2, 2θ 24.51, I = 14; hkl 4 0 -1, 2θ 28.27, I = 100; hkl 0 2 0, 2θ 28.58, I = 49; hkl 1 1 2, 2θ 35.47, I = 9; hkl 2 0 2, 2θ 40.41, I = 38; hkl 4 2 -1, 2θ 40.63, I = 75; hkl 2 2 2, 2θ 50.24, I = 40; hkl 8 0 -2, 2θ 58.48, I = 13; hkl 6 0 1, 2θ 66.15, I = 8; hkl 8 2 -2, 2θ 66.36, I = 17; hkl 4 4 -1, 2θ 66.83, I = 17

=====

Entry 3:
PmTlTe4: calculated powder diffractogram (λ = 1.5418 Å (Cu Kα)), based on DFT lattice parameters and positions (GGA-PBE).
Lines closer than 0.1° are merged.

Cell and atoms:
Cell lengths 6.9046, 6.9046, 8.7915 Å; angles 90.00, 90.00, 90.00 degrees
Space group P4/nbm (No. 125, origin choice 2)
Symmetry-distinct sites (fractional):
Pm  0.2500  0.2500  0.0000 (multiplicity 2)
Tl  0.2500  0.2500  0.5000 (multiplicity 2)
Te  0.1050  0.6050  0.2176 (multiplicity 8)

The 12 most intense peaks (5 to 70 degrees two-theta), sorted by position:
hkl 1 1 0, 2θ 18.17, I = 12; hkl 1 1 2, 2θ 27.30, I = 100; hkl 2 1 1, 2θ 30.69, I = 77; hkl 2 0 2, 2θ 32.99, I = 48; hkl 2 2 0, 2θ 36.82, I = 12; hkl 0 0 4, 2θ 41.07, I = 15; hkl 3 1 0, 2θ 41.35, I = 48; hkl 2 2 2, 2θ 42.35, I = 12; hkl 2 1 3, 2θ 42.53, I = 22; hkl 4 0 2, 2θ 57.35, I = 26; hkl 3 1 4, 2θ 59.69, I = 24; hkl 3 3 2, 2θ 60.67, I = 24

=====

Entry 4:
Pm4TlTe3: calculated powder diffractogram (λ = 1.5418 Å (Cu Kα)), based on DFT lattice parameters and positions (GGA-PBE).
Lines closer than 0.1° are merged.

Cell and atoms:
Cell lengths 8.9977, 12.6595, 4.4738 Å; angles 90.00, 90.00, 90.00 degrees
Space group Cmmm (No. 65)
Symmetry-distinct sites (fractional):
Pm  0.0000  0.2453  0.0000 (multiplicity 4)
Pm  0.2448  0.0000  0.5000 (multiplicity 4)
Tl  0.0000  0.0000  0.0000 (multiplicity 2)
Te  0.0000  0.5000  0.0000 (multiplicity 2)
Te  0.2500  0.2500  0.5000 (multiplicity 4)

The 12 most intense peaks (5 to 70 degrees two-theta), sorted by position:
hkl 1 1 0, 2θ 12.07, I = 3; hkl 1 1 1, 2θ 23.29, I = 1; hkl 2 0 1, 2θ 28.15, I = 100; hkl 4 0 0, 2θ 40.09, I = 13; hkl 0 0 2, 2θ 40.27, I = 64; hkl 4 4 0, 2θ 49.73, I = 14; hkl 0 4 2, 2θ 49.93, I = 14; hkl 4 0 2, 2θ 58.16, I = 9; hkl 0 8 0, 2θ 58.31, I = 4; hkl 6 0 1, 2θ 65.67, I = 6; hkl 4 4 2, 2θ 65.87, I = 12; hkl 2 0 3, 2θ 65.98, I = 18

=====

Entry 5:
PmTlTe: calculated powder diffractogram (λ = 1.5418 Å (Cu Kα)), based on DFT lattice parameters and positions (GGA-PBE).
Lines closer than 0.1° are merged.

Cell and atoms:
Cell lengths 9.2015, 6.3192, 6.3191 Å; angles 90.00, 90.00, 90.00 degrees
Space group Aem2 (No. 39)
Symmetry-distinct sites (fractional):
Pm  0.1960  0.2500  0.0000 (multiplicity 4)
Tl  0.5000  0.0000  0.2510 (multiplicity 4)
Te  0.1519  0.2500  0.5000 (multiplicity 4)

The 12 most intense peaks (5 to 70 degrees two-theta), sorted by position:
hkl 1 0 0, 2θ 9.61, I = 18; hkl 3 0 0, 2θ 29.11, I = 52; hkl 1 2 0, 2θ 29.90, I = 100; hkl 2 2 0, 2θ 34.43, I = 85; hkl 0 2 2, 2θ 40.37, I = 48; hkl 4 2 0, 2θ 48.98, I = 18; hkl 3 2 2, 2θ 50.54, I = 45; hkl 5 2 0, 2θ 58.00, I = 19; hkl 0 4 0, 2θ 58.42, I = 16; hkl 3 4 0, 2θ 66.59, I = 20; hkl 1 4 2, 2θ 67.01, I = 20; hkl 2 4 2, 2θ 69.60, I = 22

=====

Entry 6:
Pm2TmTe3: calculated powder diffractogram (λ = 1.5418 Å (Cu Kα)), based on DFT lattice parameters and positions (GGA-PBE).
Lines closer than 0.1° are merged.

Cell and atoms:
Cell lengths 4.4098, 6.2159, 13.3013 Å; angles 90.00, 90.00, 90.00 degrees
Space group Immm (No. 71)
Symmetry-distinct sites (fractional):
Pm  0.0000  0.0000  0.1750 (multiplicity 4)
Tm  0.0000  0.0000  0.5000 (multiplicity 2)
Te  0.0000  0.5000  0.1564 (multiplicity 4)
Te  0.0000  0.5000  0.5000 (multiplicity 2)

The 12 most intense peaks (5 to 70 degrees two-theta), sorted by position:
hkl 1 0 3, 2θ 28.55, I = 100; hkl 0 2 0, 2θ 28.72, I = 50; hkl 1 1 4, 2θ 36.79, I = 3; hkl 0 0 6, 2θ 40.70, I = 18; hkl 2 0 0, 2θ 40.94, I = 95; hkl 0 2 6, 2θ 50.57, I = 19; hkl 2 2 0, 2θ 50.77, I = 21; hkl 2 0 6, 2θ 59.09, I = 12; hkl 0 4 0, 2θ 59.48, I = 6; hkl 1 0 9, 2θ 66.75, I = 9; hkl 3 0 3, 2θ 67.03, I = 25; hkl 1 4 3, 2θ 67.28, I = 17

=====

Entry 7:
Pm6TmTe8: calculated powder diffractogram (λ = 1.5418 Å (Cu Kα)), based on DFT lattice parameters and positions (GGA-PBE).
Lines closer than 0.1° are merged.

Cell and atoms:
Cell lengths 12.5715, 12.5715, 12.5715 Å; angles 90.00, 90.00, 90.00 degrees
Space group Fm-3m (No. 225)
Symmetry-distinct sites (fractional):
Pm  0.0000  0.2500  0.2500 (multiplicity 24)
Tm  0.0000  0.0000  0.0000 (multiplicity 4)
Te  0.0000  0.0000  0.2482 (multiplicity 24)
Te  0.2500  0.2500  0.2500 (multiplicity 8)

The 12 most intense peaks (5 to 70 degrees two-theta), sorted by position:
hkl 1 1 1, 2θ 12.19, I = 7; hkl 2 0 0, 2θ 14.09, I = 2; hkl 2 2 0, 2θ 19.98, I = 2; hkl 3 1 1, 2θ 23.47, I = 4; hkl 4 0 0, 2θ 28.40, I = 100; hkl 3 3 1, 2θ 31.01, I = 2; hkl 5 1 1, 2θ 37.16, I = 2; hkl 4 4 0, 2θ 40.59, I = 76; hkl 5 3 1, 2θ 42.54, I = 2; hkl 4 4 4, 2θ 50.28, I = 27; hkl 8 0 0, 2θ 58.76, I = 13; hkl 8 4 0, 2θ 66.53, I = 35

=====

Entry 8:
Pm3Tm2Te5: calculated powder diffractogram (λ = 1.5418 Å (Cu Kα)), based on DFT lattice parameters and positions (GGA-PBE).
Lines closer than 0.1° are merged.

Cell and atoms:
Cell lengths 14.5853, 4.3825, 10.8623 Å; angles 90.00, 119.76, 90.00 degrees
Space group C2/m (No. 12)
Symmetry-distinct sites (fractional):
Pm  0.0000  0.0000  0.0000 (multiplicity 2)
Pm  0.2096  0.0000  0.8078 (multiplicity 4)
Tm  0.0964  0.5000  0.4009 (multiplicity 4)
Te  0.0000  0.0000  0.5000 (multiplicity 2)
Te  0.0951  0.5000  0.8882 (multiplicity 4)
Te  0.1982  0.0000  0.3133 (multiplicity 4)

The 12 most intense peaks (5 to 70 degrees two-theta), sorted by position:
hkl 0 0 1, 2θ 9.38, I = 1; hkl 2 0 -3, 2θ 24.59, I = 1; hkl 1 1 1, 2θ 24.84, I = 2; hkl 3 1 -2, 2θ 28.69, I = 100; hkl 1 1 -4, 2θ 40.86, I = 38; hkl 0 2 0, 2θ 41.18, I = 38; hkl 2 2 -3, 2θ 48.55, I = 1; hkl 4 0 -6, 2θ 50.41, I = 7; hkl 2 2 2, 2θ 50.96, I = 20; hkl 6 2 -4, 2θ 59.40, I = 12; hkl 4 2 -6, 2θ 67.05, I = 16; hkl 3 3 -2, 2θ 67.51, I = 17

=====

Entry 9:
Pm4TmTe7: calculated powder diffractogram (λ = 1.5418 Å (Cu Kα)), based on DFT lattice parameters and positions (GGA-PBE).
Lines closer than 0.1° are merged.

Cell and atoms:
Cell lengths 14.5347, 4.3137, 13.3533 Å; angles 90.00, 104.57, 90.00 degrees
Space group Cm (No. 8)
Symmetry-distinct sites (fractional):
Pm  0.0000  0.0000  0.0000 (multiplicity 2)
Pm  0.0859  0.5000  0.3827 (multiplicity 2)
Pm  0.1857  0.0000  0.7646 (multiplicity 2)
Pm  0.3852  0.5000  0.5711 (multiplicity 2)
Tm  0.2711  0.5000  0.1496 (multiplicity 2)
Te  0.0473  0.5000  0.6224 (multiplicity 2)
Te  0.1310  0.5000  0.9291 (multiplicity 2)
Te  0.1511  0.0000  0.2229 (multiplicity 2)
Te  0.2230  0.0000  0.5248 (multiplicity 2)
Te  0.3493  0.5000  0.7899 (multiplicity 2)
Te  0.3821  0.0000  0.0777 (multiplicity 2)
Te  0.4207  0.5000  0.3517 (multiplicity 2)

The 12 most intense peaks (5 to 70 degrees two-theta), sorted by position:
hkl 2 0 2, 2θ 20.88, I = 45; hkl 2 0 3, 2θ 26.85, I = 58; hkl 2 0 -4, 2θ 27.32, I = 42; hkl 3 1 -1, 2θ 27.77, I = 83; hkl 3 1 0, 2θ 28.11, I = 47; hkl 3 1 -2, 2θ 29.15, I = 100; hkl 3 1 1, 2θ 30.11, I = 70; hkl 3 1 -3, 2θ 32.05, I = 51; hkl 1 1 -4, 2θ 33.96, I = 40; hkl 1 1 4, 2θ 36.57, I = 51; hkl 6 0 -4, 2θ 41.51, I = 46; hkl 0 2 0, 2θ 41.89, I = 65

=====

Entry 10:
Pm3Tm4Te8: calculated powder diffractogram (λ = 1.5418 Å (Cu Kα)), based on DFT lattice parameters and positions (GGA-PBE).
Lines closer than 0.1° are merged.

Cell and atoms:
Cell lengths 12.3446, 12.3563, 8.7250 Å; angles 90.00, 134.87, 90.00 degrees
Space group C2/m (No. 12)
Symmetry-distinct sites (fractional):
Pm  0.0000  0.0000  0.0000 (multiplicity 2)
Pm  0.2500  0.2500  0.0000 (multiplicity 4)
Tm  0.0000  0.5000  0.0000 (multiplicity 2)
Tm  0.0000  0.5000  0.5000 (multiplicity 2)
Tm  0.2500  0.2500  0.5000 (multiplicity 4)
Te  0.0000  0.2482  0.5000 (multiplicity 4)
Te  0.0000  0.2545  0.0000 (multiplicity 4)
Te  0.2470  0.5000  0.0030 (multiplicity 4)
Te  0.2476  0.5000  0.4911 (multiplicity 4)

The 12 most intense peaks (5 to 70 degrees two-theta), sorted by position:
hkl 1 1 0, 2θ 12.40, I = 6; hkl 2 0 -1, 2θ 14.34, I = 3; hkl 3 1 -2, 2θ 23.89, I = 4; hkl 0 4 0, 2θ 28.90, I = 100; hkl 4 0 0, 2θ 41.32, I = 63; hkl 4 0 -4, 2θ 41.39, I = 13; hkl 4 4 0, 2θ 51.22, I = 27; hkl 0 8 0, 2θ 59.86, I = 8; hkl 8 0 -4, 2θ 59.95, I = 4; hkl 4 0 2, 2θ 67.78, I = 12; hkl 0 8 2, 2θ 67.87, I = 20; hkl 8 0 -6, 2θ 67.97, I = 3

=====

Entry 11:
Pm2Y3Te6: calculated powder diffractogram (λ = 1.5418 Å (Cu Kα)), based on DFT lattice parameters and positions (GGA-PBE).
Lines closer than 0.1° are merged.

Cell and atoms:
Cell lengths 4.4324, 4.4324, 64.5524 Å; angles 90.00, 90.00, 120.00 degrees
Space group R-3m (No. 166, hexagonal axes)
Symmetry-distinct sites (fractional):
Pm  0.0000  0.0000  0.0536 (multiplicity 6)
Y  0.0000  0.0000  0.2201 (multiplicity 6)
Y  0.0000  0.0000  0.5000 (multiplicity 3)
Te  0.0000  0.0000  0.1398 (multiplicity 6)
Te  0.0000  0.0000  0.3055 (multiplicity 6)
Te  0.0000  0.0000  0.4187 (multiplicity 6)

The 12 most intense peaks (5 to 70 degrees two-theta), sorted by position:
hkl 0 1 8, 2θ 25.70, I = 13; hkl 0 1 11, 2θ 27.77, I = 100; hkl 0 1 14, 2θ 30.30, I = 25; hkl 1 0 19, 2θ 35.28, I = 9; hkl 1 0 22, 2θ 38.62, I = 10; hkl 1 1 0, 2θ 40.71, I = 51; hkl 1 0 25, 2θ 42.18, I = 31; hkl 2 0 11, 2θ 50.00, I = 19; hkl 0 0 36, 2θ 50.93, I = 8; hkl 0 2 25, 2θ 60.06, I = 11; hkl 1 2 11, 2θ 66.37, I = 16; hkl 1 1 36, 2θ 67.15, I = 20

=====

Entry 12:
Pm4YTe5: calculated powder diffractogram (λ = 1.5418 Å (Cu Kα)), based on DFT lattice parameters and positions (GGA-PBE).
Lines closer than 0.1° are merged.

Cell and atoms:
Cell lengths 4.4278, 4.4278, 31.7573 Å; angles 90.00, 90.00, 90.00 degrees
Space group I4/mmm (No. 139)
Symmetry-distinct sites (fractional):
Pm  0.0000  0.0000  0.1038 (multiplicity 4)
Pm  0.0000  0.0000  0.3069 (multiplicity 4)
Y  0.0000  0.0000  0.5000 (multiplicity 2)
Te  0.0000  0.0000  0.0000 (multiplicity 2)
Te  0.0000  0.0000  0.2041 (multiplicity 4)
Te  0.0000  0.0000  0.4044 (multiplicity 4)

The 12 most intense peaks (5 to 70 degrees two-theta), sorted by position:
hkl 0 0 10, 2θ 28.10, I = 48; hkl 1 1 0, 2θ 28.51, I = 100; hkl 1 0 9, 2θ 32.44, I = 7; hkl 1 1 10, 2θ 40.46, I = 71; hkl 2 0 0, 2θ 40.76, I = 38; hkl 2 0 10, 2θ 50.24, I = 38; hkl 2 1 9, 2θ 53.03, I = 4; hkl 0 0 20, 2θ 58.09, I = 5; hkl 2 2 0, 2θ 59.02, I = 17; hkl 1 1 20, 2θ 65.96, I = 13; hkl 2 2 10, 2θ 66.60, I = 16; hkl 3 1 0, 2θ 66.81, I = 17